No. 1
Structure and theoretical X-ray diffraction stick pattern of SrPmTm4S8 (a structure optimized by DFT (PBE); CuKα).
Kinematic intensities with the Lorentz-polarization factor, no thermal factor.

Structural model:
```
SrPmTm4S8
1.0
4.038 2.332 6.703
-4.038 2.332 6.703
0.000 -4.663 6.703
Sr Pm Tm S
1 1 4 8
direct
0.000 0.000 0.000
0.371 0.371 0.371
0.371 0.371 0.879
0.371 0.879 0.371
0.748 0.748 0.748
0.879 0.371 0.371
0.131 0.131 0.581
0.131 0.581 0.131
0.139 0.139 0.139
0.142 0.622 0.622
0.581 0.131 0.131
0.616 0.616 0.616
0.622 0.142 0.622
0.622 0.622 0.142
```

Largest 10 diffraction maxima, sorted by position, 2θ from 10° to 90°:
2θ 25.5, intensity 48; 2θ 25.8, intensity 100; 2θ 25.9, intensity 55; 2θ 27.0, intensity 27; 2θ 31.2, intensity 53; 2θ 40.6, intensity 25; 2θ 40.8, intensity 35; 2θ 41.0, intensity 30; 2θ 44.4, intensity 61; 2θ 44.9, intensity 60

=====

No. 2
Structure and theoretical X-ray diffraction stick pattern of Tb3Pm4S8 (a structure optimized by DFT (PBE); CuKα).
Kinematic intensities with the Lorentz-polarization factor, no thermal factor.

Structural model:
```
Tb3Pm4S8
1.0
5.624 -5.626 0.000
5.624 5.626 0.000
-5.610 0.000 5.628
Tb Pm S
3 4 8
direct
0.000 0.000 0.000
0.000 0.500 0.500
0.500 0.000 0.500
0.000 0.000 0.500
0.000 0.500 0.000
0.500 0.000 0.000
0.500 0.500 0.000
0.247 0.753 0.000
0.249 0.249 0.005
0.250 0.250 0.494
0.253 0.747 0.500
0.747 0.253 0.500
0.750 0.750 0.506
0.751 0.751 0.995
0.753 0.247 0.000
```

Largest 10 diffraction maxima, sorted by position, 2θ from 10° to 90°:
2θ 27.5, intensity 68; 2θ 31.8, intensity 100; 2θ 45.6, intensity 60; 2θ 45.7, intensity 12; 2θ 54.1, intensity 28; 2θ 56.6, intensity 12; 2θ 56.7, intensity 12; 2θ 75.6, intensity 19; 2θ 84.3, intensity 12; 2θ 84.4, intensity 12

=====

No. 3
Structure and theoretical X-ray diffraction stick pattern of Tb5PmS6 (a structure optimized by DFT (PBE); CuKα).
Kinematic intensities with the Lorentz-polarization factor, no thermal factor.

Structural model:
```
Tb5PmS6
1.0
3.416 -5.929 0.000
3.416 5.929 0.000
-2.296 0.000 6.426
Tb Pm S
5 1 6
direct
0.000 0.000 0.000
0.166 0.834 0.500
0.336 0.664 0.000
0.664 0.336 0.000
0.834 0.166 0.500
0.500 0.500 0.500
0.076 0.416 0.246
0.245 0.245 0.752
0.416 0.076 0.246
0.584 0.924 0.754
0.755 0.755 0.248
0.924 0.584 0.754
```

Largest 10 diffraction maxima, sorted by position, 2θ from 10° to 90°:
2θ 27.7, intensity 40; 2θ 27.8, intensity 40; 2θ 32.1, intensity 100; 2θ 46.0, intensity 36; 2θ 46.0, intensity 24; 2θ 54.5, intensity 23; 2θ 54.7, intensity 16; 2θ 57.1, intensity 13; 2θ 57.3, intensity 12; 2θ 76.4, intensity 16

=====

No. 4
Structure and theoretical X-ray diffraction stick pattern of TbPm3S6 (a structure optimized by DFT (PBE); CuKα).
Kinematic intensities with the Lorentz-polarization factor, no thermal factor.

Structural model:
```
TbPm3S6
1.0
6.755 0.000 0.000
0.000 7.365 0.000
-6.650 0.000 10.241
Tb Pm S
2 6 12
direct
0.000 0.000 0.000
0.000 0.500 0.500
0.208 0.092 0.749
0.208 0.408 0.249
0.500 0.000 0.500
0.500 0.500 0.000
0.792 0.592 0.751
0.792 0.908 0.251
0.093 0.189 0.417
0.093 0.311 0.917
0.234 0.685 0.416
0.234 0.815 0.916
0.404 0.066 0.246
0.404 0.434 0.746
0.596 0.566 0.254
0.596 0.934 0.754
0.766 0.185 0.084
0.766 0.315 0.584
0.907 0.689 0.083
0.907 0.811 0.583
```

Largest 10 diffraction maxima, sorted by position, 2θ from 10° to 90°:
2θ 24.2, intensity 30; 2θ 24.9, intensity 100; 2θ 25.0, intensity 100; 2θ 26.4, intensity 35; 2θ 35.1, intensity 30; 2θ 36.1, intensity 31; 2θ 40.1, intensity 25; 2θ 43.0, intensity 34; 2θ 45.5, intensity 25; 2θ 45.9, intensity 26

=====

No. 5
Structure and theoretical X-ray diffraction stick pattern of Tb6PmS8 (a structure optimized by DFT (PBE); CuKα).
Kinematic intensities with the Lorentz-polarization factor, no thermal factor.

Structural model:
```
Tb6PmS8
1.0
0.000 5.553 5.553
5.553 0.000 5.553
5.553 5.553 0.000
Tb Pm S
6 1 8
direct
0.000 0.000 0.500
0.000 0.500 0.000
0.000 0.500 0.500
0.500 0.000 0.000
0.500 0.000 0.500
0.500 0.500 0.000
0.000 0.000 0.000
0.250 0.250 0.250
0.255 0.255 0.745
0.255 0.745 0.255
0.255 0.745 0.745
0.745 0.255 0.255
0.745 0.255 0.745
0.745 0.745 0.255
0.750 0.750 0.750
```

Largest 10 diffraction maxima, sorted by position, 2θ from 10° to 90°:
2θ 13.8, intensity 11; 2θ 27.8, intensity 70; 2θ 32.2, intensity 100; 2θ 46.2, intensity 72; 2θ 54.8, intensity 35; 2θ 57.5, intensity 25; 2θ 67.5, intensity 11; 2θ 74.5, intensity 14; 2θ 76.8, intensity 32; 2θ 85.7, intensity 25

=====

No. 6
Structure and theoretical X-ray diffraction stick pattern of Tb4PmS7 (a structure optimized by DFT (PBE); CuKα).
Kinematic intensities with the Lorentz-polarization factor, no thermal factor.

Structural model:
```
Tb4PmS7
1.0
6.516 -1.922 0.000
6.516 1.922 0.000
-2.944 0.000 11.336
Tb Pm S
4 1 7
direct
0.000 0.000 0.000
0.189 0.189 0.768
0.589 0.589 0.395
0.889 0.889 0.583
0.777 0.777 0.161
0.143 0.143 0.230
0.230 0.230 0.531
0.390 0.390 0.077
0.548 0.548 0.632
0.627 0.627 0.930
0.845 0.845 0.796
0.933 0.933 0.370
```

Largest 10 diffraction maxima, sorted by position, 2θ from 10° to 90°:
2θ 23.6, intensity 89; 2θ 24.2, intensity 100; 2θ 26.0, intensity 32; 2θ 27.4, intensity 38; 2θ 31.2, intensity 40; 2θ 32.8, intensity 48; 2θ 33.8, intensity 38; 2θ 38.7, intensity 27; 2θ 41.6, intensity 29; 2θ 46.9, intensity 34

=====

No. 7
Structure and theoretical X-ray diffraction stick pattern of Tb4PmS6 (a structure optimized by DFT (PBE); CuKα).
Kinematic intensities with the Lorentz-polarization factor, no thermal factor.

Structural model:
```
Tb4PmS6
1.0
1.939 -6.471 0.000
1.939 6.471 0.000
0.000 0.000 19.967
Tb Pm S
8 2 12
direct
0.092 0.908 0.627
0.092 0.908 0.873
0.361 0.639 0.540
0.361 0.639 0.960
0.639 0.361 0.040
0.639 0.361 0.460
0.908 0.092 0.127
0.908 0.092 0.373
0.153 0.847 0.250
0.847 0.153 0.750
0.000 0.000 0.000
0.000 0.000 0.500
0.189 0.811 0.750
0.269 0.731 0.089
0.269 0.731 0.411
0.451 0.549 0.666
0.451 0.549 0.834
0.549 0.451 0.166
0.549 0.451 0.334
0.731 0.269 0.589
0.731 0.269 0.911
0.811 0.189 0.250
```

Largest 10 diffraction maxima, sorted by position, 2θ from 10° to 90°:
2θ 25.6, intensity 30; 2θ 26.2, intensity 100; 2θ 27.5, intensity 79; 2θ 31.3, intensity 32; 2θ 32.3, intensity 78; 2θ 33.9, intensity 56; 2θ 43.7, intensity 38; 2θ 45.9, intensity 53; 2θ 46.9, intensity 28; 2θ 54.5, intensity 27

=====

No. 8
Structure and theoretical X-ray diffraction stick pattern of Tb2PmS4 (a structure optimized by DFT (PBE); CuKα).
Kinematic intensities with the Lorentz-polarization factor, no thermal factor.

Structural model:
```
Tb2PmS4
1.0
1.933 -6.520 0.000
1.933 6.520 0.000
0.000 0.000 13.239
Tb Pm S
4 2 8
direct
0.130 0.870 0.569
0.130 0.870 0.931
0.870 0.130 0.069
0.870 0.130 0.431
0.375 0.625 0.750
0.625 0.375 0.250
0.033 0.967 0.750
0.226 0.774 0.121
0.226 0.774 0.379
0.500 0.500 0.000
0.500 0.500 0.500
0.774 0.226 0.621
0.774 0.226 0.879
0.967 0.033 0.250
```

Largest 10 diffraction maxima, sorted by position, 2θ from 10° to 90°:
2θ 24.4, intensity 100; 2θ 24.9, intensity 27; 2θ 27.4, intensity 25; 2θ 27.6, intensity 26; 2θ 31.7, intensity 36; 2θ 33.9, intensity 51; 2θ 41.9, intensity 31; 2θ 44.1, intensity 17; 2θ 46.6, intensity 40; 2θ 53.6, intensity 24